1.
Diffraction record for KCo2S3. The powder X-ray diffraction pattern is theoretical, not measured: it uses a structure optimized by DFT (GGA-PBE) and Cu Kα.

Structure:
a b c (Å): 7.863 3.469 9.050
angles (deg): 90.00 115.57 90.00
Space group P2_1/m (No. 11)
Unique sites:
1 K 0.245 0.250 0.264 x2
2 Co 0.084 0.250 0.610 x2
3 Co 0.319 0.750 0.848 x2
4 S 0.131 0.250 0.864 x2
5 S 0.222 0.750 0.560 x2
6 S 0.479 0.750 0.126 x2

Largest 10 diffraction maxima, in order of rising 2θ, 2θ = 10–90°:
| Position (°2θ) | I/Imax | hkl |
| --- | --- | --- |
| 12.51 | 100 | 1 0 -1 |
| 25.16 | 15 | 2 0 -2 |
| 32.66 | 12 | 1 1 -2 |
| 34.48 | 23 | 2 1 -1 |
| 36.22 | 16 | 2 1 0 |
| 39.62 | 9 | 1 1 -3 |
| 40.29 | 10 | 1 0 3 |
| 43.62 | 11 | 3 1 -1 |
| 48.46 | 12 | 2 1 -4 |
| 52.78 | 9 | 0 2 0 |

=====

2.
Diffraction record for AlTlCdH6. The powder X-ray diffraction pattern is theoretical, not measured: it uses a structure optimized by DFT (GGA-PBE) and Cu Kα.

Structure:
a b c (Å): 7.263 7.263 7.263
angles (deg): 90.00 90.00 90.00
Space group F-43m (No. 216)
Unique sites:
1 Al 0.000 0.000 0.000 x4
2 Tl 0.250 0.250 0.750 x4
3 Cd 0.250 0.250 0.250 x4
4 H 0.000 0.000 0.243 x24

Largest 10 diffraction maxima, in order of rising 2θ, 2θ = 10–90°:
| Position (°2θ) | I/Imax | hkl |
| --- | --- | --- |
| 21.19 | 16 | 1 1 1 |
| 24.51 | 86 | 2 0 0 |
| 34.94 | 100 | 2 2 0 |
| 43.15 | 28 | 2 2 2 |
| 50.25 | 19 | 4 0 0 |
| 56.68 | 35 | 4 2 0 |
| 62.67 | 37 | 4 2 2 |
| 73.81 | 12 | 4 4 0 |
| 79.12 | 17 | 6 0 0 |
| 84.34 | 16 | 6 2 0 |

=====

3.
Diffraction record for SmSiNiGe2. The powder X-ray diffraction pattern is theoretical, not measured: it uses a structure optimized by DFT (GGA-PBE) and Cu Kα.

Structure:
a b c (Å): 4.038 21.665 4.140
angles (deg): 90.00 90.00 90.00
Space group Cmmm (No. 65)
Unique sites:
1 Sm 0.000 0.168 0.000 x4
2 Si 0.000 0.056 0.500 x4
3 Ni 0.000 0.393 0.500 x4
4 Ge 0.000 0.285 0.500 x4
5 Ge 0.000 0.444 0.000 x4

Largest 10 diffraction maxima, in order of rising 2θ, 2θ = 10–90°:
| Position (°2θ) | I/Imax | hkl |
| --- | --- | --- |
| 25.27 | 13 | 1 3 0 |
| 32.91 | 23 | 0 6 1 |
| 33.39 | 100 | 1 3 1 |
| 36.58 | 17 | 1 7 0 |
| 43.75 | 41 | 0 0 2 |
| 44.90 | 22 | 2 0 0 |
| 47.36 | 11 | 0 10 1 |
| 63.60 | 11 | 1 9 2 |
| 64.47 | 15 | 2 0 2 |
| 73.72 | 10 | 1 3 3 |